(1)
For Pm4Br5N, DFT lattice parameters and positions (PBE) gives the calculated powder diffractogram in this record (CuKα).
Lines closer than 0.1° are merged.

Cell lengths 9.2086, 9.2086, 8.2893 Å; angles 103.03, 103.03, 24.18 degrees
Sites, in units of the cell vectors:
Pm 0.0014 0.0014 0.2984
Pm 0.3617 0.3617 0.4280
Pm 0.6383 0.6383 0.5720
Pm 0.9986 0.9986 0.7016
Br 0.1640 0.1640 0.8452
Br 0.1710 0.1710 0.3238
Br 0.5000 0.5000 0.0000
Br 0.8290 0.8290 0.6762
Br 0.8360 0.8360 0.1548
N 0.5000 0.5000 0.5000

The 12 most intense peaks (2θ from 5° to 70°), by intensity:
| Position (°2θ) | I (rel.) |
| --- | --- |
| 31.69 | 100 |
| 44.64 | 53 |
| 10.97 | 46 |
| 30.61 | 44 |
| 10.10 | 24 |
| 31.20 | 24 |
| 34.58 | 19 |
| 47.12 | 18 |
| 28.52 | 17 |
| 33.48 | 17 |
| 37.17 | 15 |
| 43.68 | 15 |

(2)
For La2Ga10Ni, DFT lattice parameters and positions (PBE) gives the calculated powder diffractogram in this record (CuKα).
Lines closer than 0.1° are merged.

Cell lengths 13.5288, 13.5288, 13.5288 Å; angles 161.48, 161.48, 26.31 degrees
Sites, in units of the cell vectors:
La 0.1444 0.1444 0.0000
La 0.8556 0.8556 0.0000
Ga 0.0489 0.5489 0.5000
Ga 0.2500 0.7500 0.5000
Ga 0.3032 0.3032 0.0000
Ga 0.3962 0.3962 0.0000
Ga 0.4511 0.9511 0.5000
Ga 0.5489 0.0489 0.5000
Ga 0.6038 0.6038 0.0000
Ga 0.6968 0.6968 0.0000
Ga 0.7500 0.2500 0.5000
Ga 0.9511 0.4511 0.5000
Ni 0.0000 0.0000 0.0000

The 12 most intense peaks (2θ from 5° to 70°), by intensity:
| Position (°2θ) | I (rel.) |
| --- | --- |
| 41.47 | 100 |
| 32.08 | 93 |
| 31.41 | 81 |
| 35.61 | 49 |
| 45.30 | 38 |
| 52.93 | 36 |
| 60.09 | 32 |
| 49.61 | 24 |
| 69.76 | 19 |
| 66.59 | 19 |
| 43.10 | 17 |
| 57.38 | 14 |

(3)
For Tm4Mg3Fe2, DFT lattice parameters and positions (PBE) gives the calculated powder diffractogram in this record (CuKα).
Lines closer than 0.1° are merged.

Cell lengths 7.4127, 3.7104, 8.0814 Å; angles 90.00, 109.90, 90.00 degrees
Sites, in units of the cell vectors:
Tm 0.0949 0.0000 0.2259
Tm 0.3926 0.0000 0.6812
Tm 0.6074 0.0000 0.3188
Tm 0.9051 0.0000 0.7741
Mg 0.0000 0.5000 0.5000
Mg 0.2908 0.5000 0.0024
Mg 0.7092 0.5000 0.9976
Fe 0.3598 0.5000 0.3991
Fe 0.6402 0.5000 0.6009

The 12 most intense peaks (2θ from 5° to 70°), by intensity:
| Position (°2θ) | I (rel.) |
| --- | --- |
| 34.33 | 100 |
| 33.77 | 87 |
| 23.98 | 54 |
| 24.20 | 52 |
| 40.12 | 51 |
| 23.41 | 46 |
| 31.68 | 44 |
| 14.02 | 43 |
| 11.65 | 33 |
| 41.43 | 31 |
| 49.11 | 27 |
| 37.39 | 26 |

(4)
For Ag3N, DFT lattice parameters and positions (PBE) gives the calculated powder diffractogram in this record (CuKα).
Lines closer than 0.1° are merged.

Cell lengths 6.4180, 6.4180, 6.4180 Å; angles 90.00, 90.00, 90.00 degrees
Sites, in units of the cell vectors:
Ag 0.0014 0.2516 0.3841
Ag 0.1159 0.9986 0.7516
Ag 0.2484 0.6159 0.5014
Ag 0.2516 0.3841 0.0014
Ag 0.3841 0.0014 0.2516
Ag 0.4986 0.7484 0.8841
Ag 0.5014 0.2484 0.6159
Ag 0.6159 0.5014 0.2484
Ag 0.7484 0.8841 0.4986
Ag 0.7516 0.1159 0.9986
Ag 0.8841 0.4986 0.7484
Ag 0.9986 0.7516 0.1159
N 0.0860 0.9140 0.4140
N 0.4140 0.0860 0.9140
N 0.5860 0.5860 0.5860
N 0.9140 0.4140 0.0860

The 7 most intense peaks (2θ from 5° to 70°), by intensity:
| Position (°2θ) | I (rel.) |
| --- | --- |
| 34.22 | 100 |
| 44.65 | 35 |
| 53.42 | 20 |
| 64.98 | 20 |
| 68.58 | 13 |
| 39.72 | 11 |
| 57.43 | 2 |

(5)
For Cs2KAg3Sb2, DFT lattice parameters and positions (PBE) gives the calculated powder diffractogram in this record (CuKα).
Lines closer than 0.1° are merged.

Cell lengths 8.5845, 8.5845, 8.5845 Å; angles 45.47, 45.47, 45.47 degrees
Sites, in units of the cell vectors:
Cs 0.0867 0.0867 0.0867
Cs 0.9133 0.9133 0.9133
K 0.5000 0.5000 0.5000
Ag 0.0000 0.5000 0.5000
Ag 0.5000 0.0000 0.5000
Ag 0.5000 0.5000 0.0000
Sb 0.2487 0.2487 0.2487
Sb 0.7513 0.7513 0.7513

The 12 most intense peaks (2θ from 5° to 70°), by intensity:
| Position (°2θ) | I (rel.) |
| --- | --- |
| 35.76 | 100 |
| 31.36 | 90 |
| 26.88 | 61 |
| 24.76 | 59 |
| 11.52 | 57 |
| 34.90 | 38 |
| 17.24 | 35 |
| 55.39 | 32 |
| 53.46 | 31 |
| 44.54 | 23 |
| 46.21 | 21 |
| 47.33 | 17 |

(6)
For Sc3CoCN, DFT lattice parameters and positions (PBE) gives the calculated powder diffractogram in this record (CuKα).
Lines closer than 0.1° are merged.

Cell lengths 3.2095, 3.2095, 18.2922 Å; angles 90.00, 90.00, 120.00 degrees
Sites, in units of the cell vectors:
Sc 0.0000 0.0000 0.0000
Sc 0.0000 0.0000 0.5000
Sc 0.3333 0.6667 0.1403
Sc 0.3333 0.6667 0.3561
Sc 0.6667 0.3333 0.6439
Sc 0.6667 0.3333 0.8597
Co 0.0000 0.0000 0.2443
Co 0.0000 0.0000 0.7557
C 0.3333 0.6667 0.5784
C 0.6667 0.3333 0.4216
N 0.3333 0.6667 0.9279
N 0.6667 0.3333 0.0721

The 12 most intense peaks (2θ from 5° to 70°), by intensity:
| Position (°2θ) | I (rel.) |
| --- | --- |
| 37.88 | 100 |
| 40.77 | 28 |
| 57.42 | 27 |
| 32.58 | 17 |
| 39.41 | 14 |
| 51.77 | 12 |
| 56.05 | 11 |
| 32.20 | 9 |
| 9.67 | 6 |
| 44.09 | 3 |
| 49.85 | 3 |
| 67.60 | 2 |